Structure and simulated XRD peak list of TiZnNiP2O9 (a crystal structure in Alexandria, relaxed with PBE+U; a wavelength of 1.5418 Å).
Lines closer than 0.1° are merged.

Peak list (12 most intense, 2θ = 10–80°, low angle first)
| d (Å) | 2θ/deg | I_rel | (hkl) |
| --- | --- | --- | --- |
| 6.775 | 13.1 | 37 | 1 0 1 |
| 3.712 | 24.0 | 100 | 1 0 2 |
| 3.388 | 26.3 | 27 | 2 0 2 |
| 3.250 | 27.4 | 58 | 4 0 1 |
| 3.107 | 28.7 | 35 | 0 2 0 |
| 2.824 | 31.7 | 34 | 1 2 1 |
| 2.688 | 33.3 | 39 | 5 0 1 |
| 2.468 | 36.4 | 26 | 3 2 1 |
| 2.416 | 37.2 | 37 | 0 2 2 |
| 2.246 | 40.2 | 35 | 4 2 1 |
| 1.628 | 56.5 | 37 | 5 2 3 |
| 1.553 | 59.5 | 25 | 0 4 0 |

Structure:
Lattice parameters (Å, degrees): 14.343 6.215 7.686 90.00 90.00 90.00
Space group Pnma (No. 62)
Asymmetric unit:
Ti  0.109  0.250  0.162
Zn  0.202  0.250  0.678
Ni  0.000  0.000  0.500
P  0.065  0.750  0.146
P  0.201  0.750  0.586
O  0.011  0.250  0.994
O  0.017  0.750  0.327
O  0.044  0.250  0.352
O  0.132  0.557  0.127
O  0.142  0.537  0.591
O  0.230  0.250  0.929
O  0.237  0.250  0.251